No. 1
Simulated X-ray powder pattern of LiHoHg2 for Cu Kα, from a structure optimized by DFT (GGA-PBE).
Peak positions follow from Bragg's law for the DFT cell and can differ from measured ones.

Atomic structure:
```
data_LiHoHg2
_chemical_formula_sum 'Li4 Ho4 Hg8'
_space_group_name_H-M_alt 'F m -3 m'
_space_group_IT_number 225
_space_group_name_Hall '-F 4 2 3'
_cell_length_a 7.092
_cell_length_b 7.092
_cell_length_c 7.092
_cell_angle_alpha 90.00
_cell_angle_beta 90.00
_cell_angle_gamma 90.00
loop_
_atom_site_label
_atom_site_fract_x
_atom_site_fract_y
_atom_site_fract_z
_atom_site_occupancy
Li1 0.000 0.000 0.000 1
Ho1 0.000 0.000 0.500 1
Hg1 0.250 0.250 0.250 1
```

Main lines, by angle (2θ = 5–70°):
- 2θ = 21.70°, intensity 18.1
- 2θ = 25.11°, intensity 20.4
- 2θ = 35.81°, intensity 100.0
- 2θ = 42.26°, intensity 9.7
- 2θ = 44.24°, intensity 6.3
- 2θ = 51.55°, intensity 18.0
- 2θ = 58.17°, intensity 8.6
- 2θ = 64.35°, intensity 37.1

No. 2
Simulated X-ray powder pattern of Nd12Co6Sn for Cu Kα, from a structure optimized by DFT (GGA-PBE).
Peak positions follow from Bragg's law for the DFT cell and can differ from measured ones.

Atomic structure:
```
data_Nd12Co6Sn
_chemical_formula_sum 'Nd24 Co12 Sn2'
_space_group_name_H-M_alt 'I m -3'
_space_group_IT_number 204
_space_group_name_Hall '-I 2 2 3'
_cell_length_a 10.022
_cell_length_b 10.022
_cell_length_c 10.022
_cell_angle_alpha 90.00
_cell_angle_beta 90.00
_cell_angle_gamma 90.00
loop_
_atom_site_label
_atom_site_fract_x
_atom_site_fract_y
_atom_site_fract_z
_atom_site_occupancy
Nd1 0.000 0.306 0.193 1
Co1 0.000 0.111 0.500 1
Sn1 0.000 0.000 0.000 1
```

Main lines, by angle (2θ = 5–70°):
- 2θ = 28.16°, intensity 45.9
- 2θ = 30.91°, intensity 51.8
- 2θ = 33.45°, intensity 100.0
- 2θ = 35.84°, intensity 18.9
- 2θ = 46.19°, intensity 25.4
- 2θ = 53.30°, intensity 37.5
- 2θ = 56.61°, intensity 37.2
- 2θ = 65.90°, intensity 19.6